This entry pairs a crystal structure of KNa3Pa4S12 with its computed powder XRD pattern. Radiation: Cu Kα X-rays. Structure: a cell relaxed with GGA-PBE.

Peak list (6 most intense, 5° ≤ 2θ ≤ 70°, sorted by position)
- d = 5.087 Å, 17.4°, rel. 100
- d = 3.597 Å, 24.8°, rel. 90
- d = 2.544 Å, 35.3°, rel. 36
- d = 2.275 Å, 39.6°, rel. 54
- d = 2.077 Å, 43.6°, rel. 56
- d = 1.360 Å, 69.1°, rel. 26

Unit cell a=8.8112 b=8.8112 c=8.8112 alpha=109.47 beta=109.47 gamma=109.47
Positions (direct):
K 0.0000 0.0000 0.0000
Na 0.0000 0.5000 0.5000
Na 0.5000 0.0000 0.5000
Na 0.5000 0.5000 0.0000
Pa 0.0000 0.0000 0.5000
Pa 0.0000 0.5000 0.0000
Pa 0.5000 0.0000 0.0000
Pa 0.5000 0.5000 0.5000
S 0.0980 0.2938 0.8042
S 0.1958 0.4896 0.2938
S 0.1958 0.9020 0.7062
S 0.2938 0.1958 0.4896
S 0.2938 0.8042 0.0980
S 0.4896 0.2938 0.1958
S 0.5104 0.7062 0.8042
S 0.7062 0.1958 0.9020
S 0.7062 0.8042 0.5104
S 0.8042 0.0980 0.2938
S 0.8042 0.5104 0.7062
S 0.9020 0.7062 0.1958